For TmB4W, DFT lattice parameters and positions (PBE) gives the computed PXRD pattern in this record (Cu Kα (λ = 1.5418 Å)).

a = 6.0100 Å, b = 11.6009 Å, c = 3.6032 Å
α = 90.00°, β = 90.00°, γ = 90.00°
Space group Pbam (No. 55)
Unique sites:
Tm1 0.1274 0.1493 0.0000 (multiplicity 4)
B1 0.0227 0.6942 0.5000 (multiplicity 4)
B2 0.1146 0.5480 0.5000 (multiplicity 4)
B3 0.1325 0.9681 0.5000 (multiplicity 4)
B4 0.2114 0.8132 0.5000 (multiplicity 4)
W1 0.1317 0.4152 0.0000 (multiplicity 4)

Most intense lines, 2θ from 15° to 90°, by angle:
2θ 24.71, intensity 98.6, (0 0 1); 2θ 30.77, intensity 84.4, (0 4 0); 2θ 34.33, intensity 26.8, (1 4 0); 2θ 37.92, intensity 34.5, (2 3 0); 2θ 39.85, intensity 100.0, (0 4 1); 2θ 42.76, intensity 34.3, (1 4 1); 2θ 45.79, intensity 46.4, (2 3 1); 2θ 50.67, intensity 20.9, (0 0 2); 2θ 60.46, intensity 25.7, (0 4 2); 2θ 87.97, intensity 20.3, (0 4 3)